Record 1
Calculated X-ray powder pattern
Compound: Li4Al2CuAg
Radiation: λ = 1.5418 Å (Cu Kα)
Structure: the PBE geometry in OQMD
Kinematic intensities with the Lorentz-polarization factor, no thermal factor.

Top 10 peaks for 10 to 90 degrees two-theta, by angle:
2θ = 25.14°, I 100, hkl 1 0 1
2θ = 29.11°, I 27, hkl 0 0 2
2θ = 41.64°, I 79, hkl 2 0 0
2θ = 49.26°, I 45, hkl 2 1 1
2θ = 51.61°, I 7, hkl 2 0 2
2θ = 60.35°, I 13, hkl 2 2 0
2θ = 66.42°, I 17, hkl 3 0 1
2θ = 68.38°, I 8, hkl 1 1 4
2θ = 75.99°, I 24, hkl 3 1 2
2θ = 81.56°, I 6, hkl 3 2 1

Cell and atoms:
```
data_Li4Al2CuAg
_space_group_name_H-M_alt 'P -4 m 2'
_space_group_IT_number 115
_cell_length_a 4.337
_cell_length_b 4.337
_cell_length_c 6.140
_cell_angle_alpha 90.00
_cell_angle_beta 90.00
_cell_angle_gamma 90.00
loop_
_space_group_symop_operation_xyz
'x,y,z'
'y,-x,-z'
'-x,-y,z'
'-y,x,-z'
'-x,y,z'
'-y,-x,-z'
'x,-y,z'
'y,x,-z'
loop_
_atom_site_label
_atom_site_fract_x
_atom_site_fract_y
_atom_site_fract_z
_atom_site_occupancy
Li1 0.000 0.000 0.000 1
Li2 0.000 0.500 0.741 1
Li3 0.500 0.500 0.500 1
Al1 0.000 0.500 0.269 1
Cu1 0.000 0.000 0.500 1
Ag1 0.500 0.500 0.000 1
```

Record 2
Calculated X-ray powder pattern
Compound: DyEr2Al7Ag2
Radiation: λ = 1.5418 Å (Cu Kα)
Structure: the PBE geometry in OQMD
Kinematic intensities with the Lorentz-polarization factor, no thermal factor.

Top 10 peaks for 10 to 90 degrees two-theta, by angle:
2θ = 18.84°, I 21, hkl 1 0 1
2θ = 20.31°, I 38, hkl 0 0 6
2θ = 22.99°, I 18, hkl 1 0 4
2θ = 30.28°, I 30, hkl 1 0 7
2θ = 32.38°, I 86, hkl 1 1 0
2θ = 33.11°, I 20, hkl 0 1 8
2θ = 38.52°, I 100, hkl 1 1 6
2θ = 61.87°, I 24, hkl 0 3 6
2θ = 62.87°, I 17, hkl 1 1 15
2θ = 67.78°, I 17, hkl 2 2 0

Cell and atoms:
```
data_DyEr2Al7Ag2
_space_group_name_H-M_alt 'R -3 m'
_space_group_IT_number 166
_space_group_name_Hall '-R 3 2"'
_cell_length_a 5.5301
_cell_length_b 5.5301
_cell_length_c 26.2362
_cell_angle_alpha 90.00
_cell_angle_beta 90.00
_cell_angle_gamma 120.00
loop_
_atom_site_label
_atom_site_fract_x
_atom_site_fract_y
_atom_site_fract_z
_atom_site_occupancy
Dy1 0.0000 0.0000 0.0000 1
Er1 0.0000 0.0000 0.1423 1
Al1 0.0000 0.0000 0.5000 1
Al2 0.0082 0.5041 0.9160 1
Ag1 0.0000 0.0000 0.3358 1
```

Record 3
Calculated X-ray powder pattern
Compound: DyHo2Al3AgPt2
Radiation: λ = 1.5418 Å (Cu Kα)
Structure: the PBE geometry in OQMD
Kinematic intensities with the Lorentz-polarization factor, no thermal factor.

Top 10 peaks for 10 to 90 degrees two-theta, by angle:
2θ = 13.93°, I 34, hkl 0 2 0
2θ = 24.25°, I 45, hkl 0 3 1
2θ = 33.53°, I 97, hkl 1 0 2
2θ = 36.47°, I 100, hkl 1 2 2
2θ = 37.43°, I 22, hkl 0 5 1
2θ = 42.68°, I 38, hkl 0 3 3
2θ = 44.28°, I 28, hkl 1 5 1
2θ = 46.57°, I 22, hkl 2 0 0
2θ = 64.99°, I 22, hkl 2 3 3
2θ = 68.72°, I 24, hkl 1 8 2

Cell and atoms:
```
data_DyHo2Al3AgPt2
_space_group_name_H-M_alt 'A m m 2'
_space_group_IT_number 38
_cell_length_a 3.901
_cell_length_b 12.718
_cell_length_c 7.336
_cell_angle_alpha 90.00
_cell_angle_beta 90.00
_cell_angle_gamma 90.00
loop_
_space_group_symop_operation_xyz
'x,y,z'
'-x,-y,z'
'-x,y,z'
'x,-y,z'
'x,y+1/2,z+1/2'
'-x,-y+1/2,z+1/2'
'-x,y+1/2,z+1/2'
'x,-y+1/2,z+1/2'
loop_
_atom_site_label
_atom_site_fract_x
_atom_site_fract_y
_atom_site_fract_z
_atom_site_occupancy
Dy1 0.000 0.000 0.000 1
Ho1 0.000 0.208 0.378 1
Al1 0.500 0.000 0.327 1
Al2 0.500 0.130 0.714 1
Ag1 0.000 0.000 0.584 1
Pt1 0.500 0.167 0.085 1
```

Record 4
Calculated X-ray powder pattern
Compound: DyLu2Al7Ag2
Radiation: λ = 1.5418 Å (Cu Kα)
Structure: the PBE geometry in OQMD
Kinematic intensities with the Lorentz-polarization factor, no thermal factor.

Top 10 peaks for 10 to 90 degrees two-theta, by angle:
2θ = 18.93°, I 22, hkl 1 0 1
2θ = 20.34°, I 39, hkl 0 0 6
2θ = 23.08°, I 19, hkl 1 0 4
2θ = 30.37°, I 32, hkl 1 0 7
2θ = 32.55°, I 86, hkl 1 1 0
2θ = 33.19°, I 20, hkl 0 1 8
2θ = 38.69°, I 100, hkl 1 1 6
2θ = 62.20°, I 24, hkl 0 3 6
2θ = 63.04°, I 17, hkl 1 1 15
2θ = 68.19°, I 17, hkl 2 2 0

Cell and atoms:
```
data_DyLu2Al7Ag2
_space_group_name_H-M_alt 'R -3 m'
_space_group_IT_number 166
_space_group_name_Hall '-R 3 2"'
_cell_length_a 5.5011
_cell_length_b 5.5011
_cell_length_c 26.2028
_cell_angle_alpha 90.00
_cell_angle_beta 90.00
_cell_angle_gamma 120.00
loop_
_atom_site_label
_atom_site_fract_x
_atom_site_fract_y
_atom_site_fract_z
_atom_site_occupancy
Dy1 0.0000 0.0000 0.0000 1
Lu1 0.0000 0.0000 0.1426 1
Al1 0.0000 0.0000 0.5000 1
Al2 0.0079 0.5039 0.9155 1
Ag1 0.0000 0.0000 0.3355 1
```